This entry pairs a crystal structure of Na8MgNi2O8 with its simulated powder XRD pattern. Radiation: Cu Kα X-rays. Structure: a cell relaxed with PBE+U.
Peak positions follow from Bragg's law for the DFT cell and can differ from measured ones.

Atomic structure:
Unit cell a=5.748 b=5.873 c=8.835 alpha=70.61 beta=80.99 gamma=68.27
Element x y z (fractional)
Na (0.000, 0.000, 0.000)
Na (0.004, 0.813, 0.432)
Na (0.024, 0.126, 0.613)
Na (0.489, 0.492, 0.005)
Na (0.504, 0.174, 0.335)
Na (0.519, 0.058, 0.870)
Na (0.570, 0.369, 0.543)
Na (0.986, 0.600, 0.843)
Mg (0.437, 0.806, 0.223)
Ni (0.014, 0.437, 0.194)
Ni (0.533, 0.737, 0.668)
O (0.227, 0.591, 0.244)
O (0.259, 0.190, 0.092)
O (0.269, 0.837, 0.810)
O (0.427, 0.798, 0.456)
O (0.724, 0.389, 0.771)
O (0.731, 0.930, 0.643)
O (0.747, 0.718, 0.077)
O (0.859, 0.259, 0.353)

Peak list (10 most intense, 10° ≤ 2θ ≤ 90°, in order of rising 2θ)
2θ (°)	I (rel.)
17.2	66.8
19.4	88.9
20.1	54.9
32.8	34.6
33.0	52.6
33.6	61.9
37.4	59.0
38.0	100.0
39.3	63.2
56.5	39.6